This entry pairs a crystal structure of Mn3Fe3Sb2O16 with its calculated powder diffraction line list. Radiation: Cu Kα. Structure: DFT lattice parameters and positions (PBE+U).
Kinematic intensities with the Lorentz-polarization factor, no thermal factor.

Structural model:
```
data_Mn3Fe3Sb2O16
_symmetry_space_group_name_H-M 'C 1 m 1'
_symmetry_Int_Tables_number 8
_cell_length_a 10.3300
_cell_length_b 5.9083
_cell_length_c 9.2894
_cell_angle_alpha 90.00
_cell_angle_beta 91.35
_cell_angle_gamma 90.00
loop_
_symmetry_equiv_pos_as_xyz
'x,y,z'
'x,-y,z'
'x+1/2,y+1/2,z'
'x+1/2,-y+1/2,z'
loop_
_atom_site_label
_atom_site_type_symbol
_atom_site_fract_x
_atom_site_fract_y
_atom_site_fract_z
Mn1 Mn 0.0000 0.0000 0.0000
Mn2 Mn 0.4151 0.2479 0.4985
Fe1 Fe 0.1639 0.5000 0.4960
Fe2 Fe 0.2487 0.2486 0.9960
Sb1 Sb 0.1627 0.0000 0.2764
Sb2 Sb 0.4972 0.0000 0.7771
O1 O 0.0639 0.2757 0.6261
O2 O 0.0833 0.2169 0.1271
O3 O 0.1567 0.0000 0.8935
O4 O 0.1642 0.5000 0.8844
O5 O 0.2474 0.2489 0.3875
O6 O 0.3081 0.0000 0.1303
O7 O 0.3366 0.5000 0.0936
O8 O 0.3368 0.5000 0.5943
O9 O 0.3492 0.0000 0.6193
O10 O 0.4160 0.2492 0.8868
O11 O 0.4890 0.0000 0.3945
O12 O 0.4953 0.5000 0.3905
```

Most intense lines, 2θ from 5° to 70°, in order of falling intensity:
19.87 deg, intensity 100; 19.68 deg, intensity 69; 36.21 deg, intensity 52; 19.47 deg, intensity 34; 62.45 deg, intensity 31; 35.51 deg, intensity 30